The following is a computed powder diffractogram of Nd2NpNiO8. It was derived from a structure optimized by DFT (PBE+U), using copper Kα.
Intensities are scaled so that the largest is 100.

Main lines, sorted by position (10 to 80 degrees two-theta):
2θ/deg, I_rel
11.9, 36
25.3, 100
27.1, 89
29.4, 68
31.3, 49
31.7, 48

Cell and atoms:
abc: 4.239 5.325 7.576
angles: 80.37 85.71 80.89
Fractional coordinates of all 12 atoms:
1 Nd 0.036 0.056 0.232
2 Nd 0.964 0.944 0.768
3 Np 0.500 0.500 0.500
4 Ni 0.500 0.500 0.000
5 O 0.080 0.723 0.512
6 O 0.172 0.750 0.039
7 O 0.415 0.214 0.678
8 O 0.467 0.326 0.242
9 O 0.533 0.674 0.758
10 O 0.585 0.786 0.322
11 O 0.828 0.250 0.961
12 O 0.920 0.277 0.488